For DyHfCo, a cell relaxed with GGA-PBE gives the simulated powder diffraction line list in this record (Cu Kα (λ = 1.5418 Å)).
No peak broadening, texture or thermal motion is included.

Principal peaks in the range 2θ = 5–70°, sorted by position:
2θ (°), I_rel, hkl
24.20, 63, 1 1 1
28.02, 2, 2 0 0
40.04, 100, 2 2 0
47.33, 32, 3 1 1
57.91, 17, 4 0 0
63.68, 13, 3 3 1
65.54, 1, 4 2 0

Structure:
```
data_DyHfCo
_chemical_formula_sum 'Dy4 Hf4 Co4'
_cell_length_a 6.3698
_cell_length_b 6.3698
_cell_length_c 6.3698
_cell_angle_alpha 90.00
_cell_angle_beta 90.00
_cell_angle_gamma 90.00
_symmetry_space_group_name_H-M 'F -4 3 m'
_symmetry_Int_Tables_number 216
_symmetry_space_group_name_Hall 'F -4 2 3'
loop_
_atom_site_label
_atom_site_type_symbol
_atom_site_fract_x
_atom_site_fract_y
_atom_site_fract_z
Dy1 Dy 0.0000 0.0000 0.0000
Hf1 Hf 0.2500 0.2500 0.7500
Co1 Co 0.0000 0.0000 0.5000
```